Diffraction record for KRb2CrF6. The PXRD pattern is theoretical, not measured: it uses a DFT-relaxed cell (PBE+U, the Materials Project) and Cu Kα (weighted mean of Kα1 and Kα2).
Kinematic intensities with the Lorentz-polarization factor, no thermal factor.

Main lines, low angle first (15° ≤ 2θ ≤ 90°):
| d [Å] | Rel. int. |
| --- | --- |
| 5.152 | 12 |
| 3.166 | 100 |
| 3.132 | 60 |
| 2.576 | 36 |
| 2.263 | 25 |
| 2.215 | 40 |
| 1.834 | 18 |
| 1.815 | 31 |
| 1.583 | 20 |
| 1.566 | 11 |

```
data_KRb2CrF6
_space_group_name_H-M_alt 'I 4/m'
_space_group_IT_number 87
_space_group_name_Hall '-I 4'
_cell_length_a 14.0087
_cell_length_b 14.0087
_cell_length_c 9.0524
_cell_angle_alpha 90.00
_cell_angle_beta 90.00
_cell_angle_gamma 90.00
loop_
_atom_site_label
_atom_site_type_symbol
_atom_site_fract_x
_atom_site_fract_y
_atom_site_fract_z
K1 K 0.0000 0.0000 0.0000
K2 K 0.0877 0.2661 0.5000
Rb1 Rb 0.0000 0.5000 0.2500
Rb2 Rb 0.1060 0.7879 0.2264
Cr1 Cr 0.0000 0.0000 0.5000
Cr2 Cr 0.0948 0.3031 0.0000
F1 F 0.0000 0.0000 0.2845
F2 F 0.0388 0.6543 0.0000
F3 F 0.0518 0.1710 0.0000
F4 F 0.0630 0.8746 0.5000
F5 F 0.0656 0.6376 0.5000
F6 F 0.0954 0.3007 0.2173
F7 F 0.2275 0.2578 0.0000
```

***

Diffraction record for KRb2CrF6. The PXRD pattern is theoretical, not measured: it uses a DFT-relaxed cell (PBE+U, the Materials Project) and Cu Kα (weighted mean of Kα1 and Kα2).
Kinematic intensities with the Lorentz-polarization factor, no thermal factor.

Main lines, low angle first (15° ≤ 2θ ≤ 90°):
| d [Å] | Rel. int. |
| --- | --- |
| 5.198 | 6 |
| 3.183 | 100 |
| 2.599 | 24 |
| 2.251 | 46 |
| 1.838 | 35 |
| 1.592 | 26 |
| 1.424 | 20 |
| 1.357 | 6 |
| 1.299 | 8 |
| 1.203 | 21 |

```
data_KRb2CrF6
_space_group_name_H-M_alt 'F m -3 m'
_space_group_IT_number 225
_space_group_name_Hall '-F 4 2 3'
_cell_length_a 9.0032
_cell_length_b 9.0032
_cell_length_c 9.0032
_cell_angle_alpha 90.00
_cell_angle_beta 90.00
_cell_angle_gamma 90.00
loop_
_atom_site_label
_atom_site_type_symbol
_atom_site_fract_x
_atom_site_fract_y
_atom_site_fract_z
K1 K 0.0000 0.0000 0.0000
Rb1 Rb 0.2500 0.2500 0.2500
Cr1 Cr 0.0000 0.0000 0.5000
F1 F 0.0000 0.0000 0.2830
```

***

Diffraction record for K2RbCrF6. The PXRD pattern is theoretical, not measured: it uses a DFT-relaxed cell (PBE+U, the Materials Project) and Cu Kα (weighted mean of Kα1 and Kα2).
Kinematic intensities with the Lorentz-polarization factor, no thermal factor.

Main lines, low angle first (15° ≤ 2θ ≤ 90°):
| d [Å] | Rel. int. |
| --- | --- |
| 4.559 | 34 |
| 3.224 | 100 |
| 2.279 | 52 |
| 2.092 | 9 |
| 2.039 | 11 |
| 1.861 | 32 |
| 1.612 | 28 |
| 1.442 | 20 |
| 1.316 | 8 |
| 1.218 | 20 |

```
data_K2RbCrF6
_space_group_name_H-M_alt 'F m -3 m'
_space_group_IT_number 225
_space_group_name_Hall '-F 4 2 3'
_cell_length_a 9.1179
_cell_length_b 9.1179
_cell_length_c 9.1179
_cell_angle_alpha 90.00
_cell_angle_beta 90.00
_cell_angle_gamma 90.00
loop_
_atom_site_label
_atom_site_type_symbol
_atom_site_fract_x
_atom_site_fract_y
_atom_site_fract_z
K1 K 0.2500 0.2500 0.2500
Rb1 Rb 0.0000 0.0000 0.0000
Cr1 Cr 0.0000 0.0000 0.5000
F1 F 0.0000 0.0000 0.2880
```